The following is a theoretical powder diffraction line list of Mg2InSi2Ir5. It was derived from a crystal structure in Alexandria, relaxed with GGA-PBE, using CuKα.

Structure:
```
data_Mg2InSi2Ir5
_cell_length_a 9.592
_cell_length_b 9.592
_cell_length_c 3.448
_cell_angle_alpha 90.00
_cell_angle_beta 90.00
_cell_angle_gamma 90.00
_symmetry_space_group_name_H-M 'P 4/m b m'
_symmetry_Int_Tables_number 127
_symmetry_space_group_name_Hall '-P 4 2ab'
loop_
_atom_site_label
_atom_site_type_symbol
_atom_site_fract_x
_atom_site_fract_y
_atom_site_fract_z
Mg1 Mg 0.172 0.328 0.000
In1 In 0.000 0.000 0.000
Si1 Si 0.127 0.627 0.000
Ir1 Ir 0.000 0.500 0.500
Ir2 Ir 0.073 0.788 0.500
```

Main lines, in order of falling intensity (15° ≤ 2θ ≤ 90°):
2θ/deg, Rel. int., hkl
39.6, 1000, 3 1 1
25.8, 607, 0 0 1
42.9, 483, 3 2 1
38.7, 470, 4 1 0
47.1, 393, 4 1 1
20.7, 392, 2 1 0

***

The following is a theoretical powder diffraction line list of LiSc5Hg6. It was derived from a crystal structure in Alexandria, relaxed with GGA-PBE, using CuKα.

Structure:
```
data_LiSc5Hg6
_cell_length_a 4.928
_cell_length_b 7.011
_cell_length_c 7.785
_cell_angle_alpha 90.00
_cell_angle_beta 107.93
_cell_angle_gamma 90.00
_symmetry_space_group_name_H-M 'P 1 2/m 1'
_symmetry_Int_Tables_number 10
loop_
_symmetry_equiv_pos_as_xyz
'x,y,z'
'-x,-y,-z'
'-x,y,-z'
'x,-y,z'
loop_
_atom_site_label
_atom_site_type_symbol
_atom_site_fract_x
_atom_site_fract_y
_atom_site_fract_z
Li1 Li 0.000 0.000 0.000
Sc1 Sc 0.000 0.500 0.000
Sc2 Sc 0.333 0.500 0.665
Sc3 Sc 0.335 0.000 0.669
Hg1 Hg 0.163 0.245 0.327
Hg2 Hg 0.500 0.245 0.000
```

Main lines, in order of falling intensity (15° ≤ 2θ ≤ 90°):
2θ/deg, Rel. int., hkl
36.4, 1000, 2 0 -1
25.4, 567, 1 0 1
36.2, 506, 1 2 1
25.7, 278, 1 0 -2
44.9, 263, 2 2 -1
65.4, 180, 3 2 0

***

The following is a theoretical powder diffraction line list of Pr2PuSn4Pt3. It was derived from a crystal structure in Alexandria, relaxed with GGA-PBE, using CuKα.

Structure:
```
data_Pr2PuSn4Pt3
_cell_length_a 4.444
_cell_length_b 4.444
_cell_length_c 12.547
_cell_angle_alpha 90.00
_cell_angle_beta 90.00
_cell_angle_gamma 90.00
_symmetry_space_group_name_H-M 'P -4 m 2'
_symmetry_Int_Tables_number 115
loop_
_symmetry_equiv_pos_as_xyz
'x,y,z'
'y,-x,-z'
'-x,-y,z'
'-y,x,-z'
'-x,y,z'
'-y,-x,-z'
'x,-y,z'
'y,x,-z'
loop_
_atom_site_label
_atom_site_type_symbol
_atom_site_fract_x
_atom_site_fract_y
_atom_site_fract_z
Pr1 Pr 0.000 0.500 0.228
Pu1 Pu 0.000 0.000 0.500
Sn1 Sn 0.000 0.000 0.000
Sn2 Sn 0.000 0.500 0.666
Sn3 Sn 0.500 0.500 0.000
Pt1 Pt 0.000 0.500 0.875
Pt2 Pt 0.500 0.500 0.500
```

Main lines, in order of falling intensity (15° ≤ 2θ ≤ 90°):
2θ/deg, Rel. int., hkl
31.8, 1000, 1 1 2
40.6, 989, 2 0 0
29.3, 472, 1 0 3
73.9, 243, 2 0 8
68.4, 230, 3 1 2
41.3, 219, 1 0 5

***

What did the third record say?
The following is a theoretical powder diffraction line list of Pr2PuSn4Pt3. It was derived from a crystal structure in Alexandria, relaxed with GGA-PBE, using CuKα.

Structure:
```
data_Pr2PuSn4Pt3
_cell_length_a 4.444
_cell_length_b 4.444
_cell_length_c 12.547
_cell_angle_alpha 90.00
_cell_angle_beta 90.00
_cell_angle_gamma 90.00
_symmetry_space_group_name_H-M 'P -4 m 2'
_symmetry_Int_Tables_number 115
loop_
_symmetry_equiv_pos_as_xyz
'x,y,z'
'y,-x,-z'
'-x,-y,z'
'-y,x,-z'
'-x,y,z'
'-y,-x,-z'
'x,-y,z'
'y,x,-z'
loop_
_atom_site_label
_atom_site_type_symbol
_atom_site_fract_x
_atom_site_fract_y
_atom_site_fract_z
Pr1 Pr 0.000 0.500 0.228
Pu1 Pu 0.000 0.000 0.500
Sn1 Sn 0.000 0.000 0.000
Sn2 Sn 0.000 0.500 0.666
Sn3 Sn 0.500 0.500 0.000
Pt1 Pt 0.000 0.500 0.875
Pt2 Pt 0.500 0.500 0.500
```

Main lines, in order of falling intensity (15° ≤ 2θ ≤ 90°):
2θ/deg, Rel. int., hkl
31.8, 1000, 1 1 2
40.6, 989, 2 0 0
29.3, 472, 1 0 3
73.9, 243, 2 0 8
68.4, 230, 3 1 2
41.3, 219, 1 0 5